The following is a calculated PXRD pattern of SrVPbO4. It was derived from a cell relaxed with GGA+U, using Cu Kα.
Peak positions follow from Bragg's law for the DFT cell and can differ from measured ones.

The 10 most intense peaks (2θ = 10–90°), in order of rising 2θ:
5.878 Å, intensity 87; 5.696 Å, intensity 30; 4.068 Å, intensity 38; 3.951 Å, intensity 50; 3.173 Å, intensity 100; 3.146 Å, intensity 29; 3.107 Å, intensity 77; 2.905 Å, intensity 60; 2.171 Å, intensity 30; 1.967 Å, intensity 36

```
data_SrVPbO4
_chemical_formula_sum 'Sr2 V2 Pb2 O8'
_cell_length_a 6.298
_cell_length_b 5.810
_cell_length_c 7.879
_cell_angle_alpha 90.00
_cell_angle_beta 111.05
_cell_angle_gamma 90.00
_space_group_name_H-M_alt 'P 1'
_space_group_IT_number 1
loop_
_space_group_symop_operation_xyz
'x,y,z'
loop_
_atom_site_label
_atom_site_type_symbol
_atom_site_fract_x
_atom_site_fract_y
_atom_site_fract_z
_atom_site_occupancy
Sr1 Sr 0.209 0.250 0.446 1
Sr2 Sr 0.791 0.750 0.554 1
V1 V 0.349 0.750 0.684 1
V2 V 0.651 0.250 0.316 1
Pb1 Pb 0.037 0.250 0.914 1
Pb2 Pb 0.963 0.750 0.086 1
O1 O 0.188 0.510 0.699 1
O2 O 0.188 0.990 0.699 1
O3 O 0.354 0.750 0.464 1
O4 O 0.362 0.250 0.175 1
O5 O 0.638 0.750 0.825 1
O6 O 0.646 0.250 0.536 1
O7 O 0.812 0.010 0.301 1
O8 O 0.812 0.490 0.301 1
```